Starting from a GGA-PBE-relaxed structure, the powder diffractogram of Eu2Bi3Pd3 was simulated for Cu Kα X-rays.
Peak positions follow from Bragg's law for the DFT cell and can differ from measured ones.

Principal peaks in the range 2θ = 10–90°, in order of rising 2θ:
2θ = 27.98°, I 100; 2θ = 31.43°, I 32; 2θ = 39.99°, I 39; 2θ = 42.58°, I 56; 2θ = 51.73°, I 32; 2θ = 74.42°, I 22

Crystal structure
abc: 3.1884 3.1884 22.7682
angles: 90.00 90.00 90.00
Positions (direct):
Eu  0.0000  0.0000  0.2382
Eu  0.0000  0.0000  0.7618
Bi  0.0000  0.0000  0.0000
Bi  0.0000  0.0000  0.3833
Bi  0.0000  0.0000  0.6167
Pd  0.0000  0.0000  0.1202
Pd  0.0000  0.0000  0.5000
Pd  0.0000  0.0000  0.8798

=====

Starting from a GGA-PBE-relaxed structure, the powder diffractogram of Tc3Sb2 was simulated for Cu Kα X-rays.
Peak positions follow from Bragg's law for the DFT cell and can differ from measured ones.

Principal peaks in the range 2θ = 10–90°, in order of rising 2θ:
2θ = 33.72°, I 67; 2θ = 36.20°, I 91; 2θ = 37.96°, I 64; 2θ = 40.85°, I 100; 2θ = 41.68°, I 95; 2θ = 42.67°, I 59

Crystal structure
abc: 6.6175 6.4500 8.4854
angles: 50.37 48.65 80.97
Positions (direct):
Tc  0.0000  0.0000  0.0000
Tc  0.2500  0.2500  0.2500
Tc  0.3910  0.4559  0.3486
Tc  0.4455  0.9014  0.7941
Tc  0.4559  0.3910  0.8045
Tc  0.9014  0.4455  0.8590
Sb  0.0585  0.7853  0.3525
Sb  0.4463  0.8975  0.4647
Sb  0.7853  0.0585  0.8037
Sb  0.8975  0.4463  0.1915

=====

Starting from a GGA-PBE-relaxed structure, the powder diffractogram of Pm2Dy2Ga3 was simulated for Cu Kα X-rays.
Peak positions follow from Bragg's law for the DFT cell and can differ from measured ones.

Principal peaks in the range 2θ = 10–90°, in order of rising 2θ:
2θ = 25.22°, I 13; 2θ = 33.76°, I 100; 2θ = 35.23°, I 64; 2θ = 35.83°, I 29; 2θ = 49.04°, I 13; 2θ = 60.91°, I 11

Crystal structure
abc: 5.9876 5.9876 8.2040
angles: 92.42 92.42 36.15
Positions (direct):
Pm  0.2042  0.2042  0.1659
Pm  0.7958  0.7958  0.8341
Dy  0.0586  0.0586  0.6966
Dy  0.9414  0.9414  0.3034
Ga  0.3317  0.3317  0.5404
Ga  0.5000  0.5000  0.0000
Ga  0.6683  0.6683  0.4596

=====

Starting from a GGA-PBE-relaxed structure, the powder diffractogram of Ho4Zn5Si6 was simulated for Cu Kα X-rays.
Peak positions follow from Bragg's law for the DFT cell and can differ from measured ones.

Principal peaks in the range 2θ = 10–90°, in order of rising 2θ:
2θ = 21.88°, I 37; 2θ = 28.25°, I 72; 2θ = 32.40°, I 38; 2θ = 33.19°, I 40; 2θ = 37.34°, I 100; 2θ = 43.44°, I 49

Crystal structure
abc: 9.3504 9.3504 15.0758
angles: 90.00 90.00 154.25
Positions (direct):
Ho  0.0182  0.9818  0.5000
Ho  0.0330  0.9670  0.7628
Ho  0.1673  0.8327  0.3042
Ho  0.1758  0.8242  0.9448
Ho  0.8242  0.1758  0.4448
Ho  0.8327  0.1673  0.8042
Ho  0.9670  0.0330  0.2628
Ho  0.9818  0.0182  0.0000
Zn  0.1507  0.8493  0.6266
Zn  0.3007  0.6993  0.6237
Zn  0.3438  0.6562  0.2751
Zn  0.3504  0.6496  0.9780
Zn  0.4357  0.5643  0.6845
Zn  0.5643  0.4357  0.1845
Zn  0.6496  0.3504  0.4780
Zn  0.6562  0.3438  0.7751
Zn  0.6993  0.3007  0.1237
Zn  0.8493  0.1507  0.1266
Si  0.1127  0.8873  0.1184
Si  0.2212  0.7788  0.4875
Si  0.2267  0.7733  0.7634
Si  0.4318  0.5682  0.1296
Si  0.4330  0.5670  0.4043
Si  0.4432  0.5568  0.8547
Si  0.5568  0.4432  0.3547
Si  0.5670  0.4330  0.9043
Si  0.5682  0.4318  0.6296
Si  0.7733  0.2267  0.2634
Si  0.7788  0.2212  0.9875
Si  0.8873  0.1127  0.6184